This entry pairs a crystal structure of In2Ge3Br8 with its computed XRD peak list. Radiation: Cu Ka. Structure: DFT lattice parameters and positions (PBE).

Top 10 peaks for 2θ = 10–80°, in order of falling intensity:
two_theta, intensity
31.6, 100
43.3, 35
19.0, 24
25.9, 23
37.2, 22
21.1, 21
43.6, 18
24.4, 14
54.9, 13
29.4, 13

Cell and atoms:
```
In2Ge3Br8
1.0
8.0298 -4.1489 0.0000
8.0298 4.1489 0.0000
-2.2520 0.0000 6.8998
In Ge Br
2 3 8
Cartesian
3.5024 0.0000 1.1832 In
10.3052 0.0000 5.7165 In
6.9038 2.1678 3.4499 Ge
8.0298 0.0000 0.0000 Ge
6.9038 -2.1678 3.4499 Ge
0.7138 0.0000 3.0600 Br
6.1263 1.9831 0.7165 Br
7.6813 1.9831 6.1832 Br
4.9441 0.0000 4.1831 Br
8.8636 0.0000 2.7167 Br
6.1263 -1.9831 0.7165 Br
7.6813 -1.9831 6.1832 Br
13.0939 0.0000 3.8397 Br
```

=====

This entry pairs a crystal structure of In2GeBr4 with its computed XRD peak list. Radiation: Cu Ka. Structure: DFT lattice parameters and positions (PBE).

Top 10 peaks for 2θ = 10–80°, in order of falling intensity:
two_theta, intensity
32.3, 100
32.2, 32
24.7, 29
23.3, 27
35.2, 26
47.2, 25
33.4, 23
31.4, 21
28.1, 21
25.8, 20

Cell and atoms:
```
In2GeBr4
1.0
3.8162 -8.0375 0.0000
3.8162 8.0375 0.0000
0.0000 0.0000 8.0721
In Ge Br
4 2 8
Cartesian
3.8162 5.8251 7.6375 In
3.8162 2.2124 3.6014 In
3.8162 -2.2124 4.4707 In
3.8162 -5.8251 0.4346 In
0.0000 0.0000 4.0361 Ge
3.8162 0.0000 0.0000 Ge
3.8162 5.2682 4.5387 Br
1.9081 0.3390 6.0541 Br
1.9081 -0.3390 2.0180 Br
3.8162 2.7693 0.5026 Br
3.8162 -2.7693 7.5695 Br
5.7242 0.3390 6.0541 Br
5.7242 -0.3390 2.0180 Br
3.8162 -5.2682 3.5334 Br
```

=====

This entry pairs a crystal structure of KIn2GeBr5 with its computed XRD peak list. Radiation: Cu Ka. Structure: DFT lattice parameters and positions (PBE).

Top 10 peaks for 2θ = 10–80°, in order of falling intensity:
two_theta, intensity
33.8, 100
10.4, 77
23.6, 64
26.3, 60
41.8, 52
35.4, 48
30.5, 48
32.1, 47
27.2, 41
18.3, 35

Cell and atoms:
```
KIn2GeBr5
1.0
2.1620 -9.3515 0.0000
2.1620 9.3515 0.0000
0.0000 0.0000 17.0460
K In Ge Br
2 4 2 10
Cartesian
2.1620 8.3830 8.5230 K
2.1620 -8.3830 0.0000 K
2.1620 2.6865 5.3371 In
2.1620 1.2573 12.1252 In
2.1620 -1.2573 3.6022 In
2.1620 -2.6865 13.8601 In
2.1620 4.5712 1.6333 Ge
2.1620 -4.5712 10.1563 Ge
2.1620 8.9752 14.1413 Br
2.1620 7.2826 1.3079 Br
2.1620 5.0901 8.3101 Br
2.1620 4.6147 12.1449 Br
2.1620 1.6787 2.2474 Br
2.1620 -1.6787 10.7704 Br
2.1620 -4.6147 3.6219 Br
2.1620 -5.0901 16.8331 Br
2.1620 -7.2826 9.8310 Br
2.1620 -8.9752 5.6183 Br
```

=====

This entry pairs a crystal structure of Rb2InGeBr6 with its computed XRD peak list. Radiation: Cu Ka. Structure: DFT lattice parameters and positions (PBE).

Top 10 peaks for 2θ = 10–80°, in order of falling intensity:
two_theta, intensity
45.5, 100
31.7, 93
27.4, 84
31.8, 46
22.3, 38
15.7, 36
56.5, 34
75.3, 29
53.9, 24
39.1, 17

Cell and atoms:
```
Rb2InGeBr6
1.0
-3.9936 3.9936 5.6262
3.9936 -3.9936 5.6262
3.9936 3.9936 -5.6262
Rb In Ge Br
2 1 1 6
Cartesian
3.9936 0.0000 2.8131 Rb
0.0000 3.9936 2.8131 Rb
0.0000 0.0000 0.0000 In
0.0000 0.0000 5.6262 Ge
0.0000 0.0000 2.8571 Br
2.0301 2.0301 0.0000 Br
1.9635 -1.9635 5.6262 Br
-1.9635 1.9635 5.6262 Br
0.0000 0.0000 8.3954 Br
1.9635 1.9635 5.6262 Br
```

=====

This entry pairs a crystal structure of KGeBr3 with its computed XRD peak list. Radiation: Cu Ka. Structure: DFT lattice parameters and positions (PBE).

Top 10 peaks for 2θ = 10–80°, in order of falling intensity:
two_theta, intensity
29.1, 100
28.1, 66
39.3, 41
30.4, 37
42.6, 21
17.5, 20
12.5, 19
37.6, 18
27.6, 16
25.1, 16

Cell and atoms:
```
KGeBr3
1.0
7.0883 -7.1847 0.0000
7.0883 7.1847 0.0000
-0.1753 0.0000 7.1794
K Ge Br
4 4 12
Cartesian
3.0597 1.2968 0.6253 K
2.9720 -1.2968 4.2151 K
11.0292 1.2968 2.9644 K
10.9415 -1.2968 6.5541 K
7.0444 3.6609 1.7949 Ge
6.9568 1.0727 5.3846 Ge
7.0444 -1.0727 1.7949 Ge
6.9568 -3.6609 5.3846 Ge
5.2969 5.3831 2.5686 Br
5.4232 3.0811 6.5432 Br
8.7919 5.3831 1.0211 Br
5.3359 0.9199 3.0501 Br
8.4904 3.0811 4.2260 Br
5.2483 -0.9199 6.6398 Br
8.7529 0.9199 0.5396 Br
5.5108 -3.0811 2.9535 Br
8.6653 -0.9199 4.1293 Br
5.2093 -5.3831 6.1584 Br
8.5781 -3.0811 0.6362 Br
8.7043 -5.3831 4.6108 Br
```

=====

This entry pairs a crystal structure of KGe2Br4 with its computed XRD peak list. Radiation: Cu Ka. Structure: DFT lattice parameters and positions (PBE).

Top 10 peaks for 2θ = 10–80°, in order of falling intensity:
two_theta, intensity
26.2, 100
40.7, 59
14.9, 54
30.8, 34
41.4, 28
30.0, 18
45.9, 16
45.8, 15
22.1, 14
45.1, 11

Cell and atoms:
```
KGe2Br4
1.0
8.4127 0.0000 0.0000
0.0000 8.4127 0.0000
0.0000 0.0000 8.0406
K Ge Br
2 4 8
Cartesian
0.0000 0.0000 0.0000 K
4.2063 4.2063 4.0203 K
0.0000 4.2063 2.0101 Ge
0.0000 4.2063 6.0304 Ge
4.2063 0.0000 2.0101 Ge
4.2063 0.0000 6.0304 Ge
1.2894 2.7380 4.0203 Br
1.4684 5.4958 0.0000 Br
2.7380 7.1233 4.0203 Br
2.9169 1.4684 0.0000 Br
5.4958 6.9443 0.0000 Br
5.6747 1.2894 4.0203 Br
6.9443 2.9169 0.0000 Br
7.1233 5.6747 4.0203 Br
```

=====

This entry pairs a crystal structure of KGeBr3 with its computed XRD peak list. Radiation: Cu Ka. Structure: DFT lattice parameters and positions (PBE).

Top 10 peaks for 2θ = 10–80°, in order of falling intensity:
two_theta, intensity
35.1, 100
10.6, 53
21.3, 42
30.3, 38
32.1, 35
17.3, 28
44.7, 26
53.8, 25
48.3, 23
41.4, 21

Cell and atoms:
```
KGeBr3
1.0
0.0000 7.2341 7.2341
7.2341 0.0000 7.2341
7.2341 7.2341 0.0000
K Ge Br
4 4 12
Cartesian
0.0000 0.0000 0.0000 K
3.6171 3.6171 0.0000 K
3.6171 0.0000 3.6171 K
0.0000 3.6171 3.6171 K
7.2341 3.6171 3.6171 Ge
3.6171 7.2341 3.6171 Ge
3.6171 3.6171 7.2341 Ge
7.2341 7.2341 7.2341 Ge
5.4256 5.4256 2.3972 Br
5.4256 2.3972 5.4256 Br
8.4540 5.4256 5.4256 Br
9.0427 9.0427 6.0143 Br
9.0427 6.0143 9.0427 Br
12.0711 9.0427 9.0427 Br
2.3972 5.4256 5.4256 Br
5.4256 8.4540 5.4256 Br
5.4256 5.4256 8.4540 Br
6.0143 9.0427 9.0427 Br
9.0427 12.0711 9.0427 Br
9.0427 9.0427 12.0711 Br
```

=====

This entry pairs a crystal structure of KGeBr3 with its computed XRD peak list. Radiation: Cu Ka. Structure: DFT lattice parameters and positions (PBE).

Top 10 peaks for 2θ = 10–80°, in order of falling intensity:
two_theta, intensity
25.1, 100
30.4, 99
13.2, 71
24.8, 67
26.3, 58
31.3, 51
18.1, 50
29.1, 47
31.7, 42
21.9, 36

Cell and atoms:
```
KGeBr3
1.0
4.9977 0.0000 0.0000
1.1521 8.5870 0.0000
1.4728 1.4896 8.8315
K Ge Br
2 2 6
Cartesian
1.4162 1.9833 1.1427 K
6.2064 8.0933 7.6888 K
2.2518 3.8503 5.8737 Ge
5.3708 6.2262 2.9579 Ge
2.1597 6.9581 4.5936 Br
1.9959 5.3543 1.1502 Br
2.5786 1.5751 7.0669 Br
5.0440 8.5015 1.7646 Br
5.6268 4.7223 7.6813 Br
5.4629 3.1185 4.2380 Br
```

=====

This entry pairs a crystal structure of KGeBr3 with its computed XRD peak list. Radiation: Cu Ka. Structure: DFT lattice parameters and positions (PBE).

Top 10 peaks for 2θ = 10–80°, in order of falling intensity:
two_theta, intensity
31.7, 100
21.2, 53
21.3, 53
23.1, 42
15.0, 36
27.1, 36
17.6, 30
35.6, 29
31.6, 25
36.4, 24

Cell and atoms:
```
KGeBr3
1.0
5.2567 -7.2694 0.0000
5.2567 7.2694 0.0000
-2.7497 0.0000 10.0924
K Ge Br
4 4 12
Cartesian
3.1944 6.0465 7.5693 K
4.5693 3.1014 2.5231 K
3.1944 -3.1014 7.5693 K
4.5693 -6.0465 2.5231 K
1.6935 1.4227 7.1023 Ge
3.0684 -1.4227 2.0561 Ge
4.6953 1.4227 8.0363 Ge
6.0702 -1.4227 2.9901 Ge
3.0980 5.7104 4.1017 Br
1.2501 3.2745 8.7426 Br
6.0405 5.7104 0.9446 Br
2.5337 0.5455 3.5328 Br
1.1589 -0.5455 8.5790 Br
5.1388 3.2745 6.3961 Br
2.6249 -3.2745 3.6963 Br
6.6048 0.5455 1.5134 Br
5.2300 -0.5455 6.5596 Br
1.7231 -5.7104 9.1479 Br
6.5136 -3.2745 1.3499 Br
4.6657 -5.7104 5.9908 Br
```

=====

This entry pairs a crystal structure of KNpGeBr6 with its computed XRD peak list. Radiation: Cu Ka. Structure: DFT lattice parameters and positions (PBE).

Top 10 peaks for 2θ = 10–80°, in order of falling intensity:
two_theta, intensity
26.9, 100
34.6, 83
12.3, 55
18.5, 48
42.0, 44
44.9, 35
13.7, 31
15.0, 27
39.0, 20
37.4, 20

Cell and atoms:
```
KNpGeBr6
1.0
7.4586 0.0000 0.0000
-3.7293 6.4593 0.0000
0.0000 0.0000 14.3862
K Np Ge Br
2 2 2 12
Cartesian
0.0000 0.0000 0.0000 K
0.0000 0.0000 7.1931 K
0.0000 4.3062 3.5965 Np
3.7293 2.1531 10.7896 Np
0.0000 4.3062 10.7896 Ge
3.7293 2.1531 3.5965 Ge
-1.3356 2.3949 9.1743 Br
-2.3230 4.1052 12.4050 Br
1.3356 2.3949 12.4050 Br
-0.9874 6.4185 9.1743 Br
2.7419 0.0408 1.9812 Br
1.4063 2.3541 5.2119 Br
2.3230 4.1052 9.1743 Br
0.9874 6.4185 12.4050 Br
4.7167 0.0408 5.2119 Br
2.3937 4.0644 1.9812 Br
6.0523 2.3541 1.9812 Br
5.0649 4.0644 5.2119 Br
```

=====

This entry pairs a crystal structure of K2RbGeBr5 with its computed XRD peak list. Radiation: Cu Ka. Structure: DFT lattice parameters and positions (PBE).

Top 10 peaks for 2θ = 10–80°, in order of falling intensity:
two_theta, intensity
27.2, 100
27.0, 52
31.4, 44
36.6, 40
22.8, 29
46.1, 24
38.3, 19
29.2, 17
26.4, 16
34.8, 15

Cell and atoms:
```
K2RbGeBr5
1.0
2.4551 -10.2037 0.0000
2.4551 10.2037 0.0000
0.0000 0.0000 13.5085
K Rb Ge Br
4 2 2 10
Cartesian
2.4551 7.9623 6.7542 K
2.4551 7.4297 1.7612 K
2.4551 -7.4297 8.5154 K
2.4551 -7.9623 0.0000 K
2.4551 5.8921 11.3226 Rb
2.4551 -5.8921 4.5684 Rb
2.4551 0.4680 3.5244 Ge
2.4551 -0.4680 10.2786 Ge
2.4551 9.4090 11.5516 Br
2.4551 4.5674 7.0052 Br
2.4551 2.9685 2.5197 Br
2.4551 2.4919 11.0677 Br
2.4551 0.3859 7.8100 Br
2.4551 -0.3859 1.0558 Br
2.4551 -2.4919 4.3134 Br
2.4551 -2.9685 9.2740 Br
2.4551 -4.5674 0.2510 Br
2.4551 -9.4090 4.7974 Br
```

=====

This entry pairs a crystal structure of KZnGeBr5 with its computed XRD peak list. Radiation: Cu Ka. Structure: DFT lattice parameters and positions (PBE).

Top 10 peaks for 2θ = 10–80°, in order of falling intensity:
two_theta, intensity
27.3, 100
23.8, 73
18.9, 45
44.1, 41
27.1, 40
26.1, 38
38.2, 33
29.5, 32
20.6, 28
32.0, 27

Cell and atoms:
```
KZnGeBr5
1.0
4.7111 -6.1823 0.0000
4.7111 6.1823 0.0000
-4.1757 0.0000 9.3566
K Zn Ge Br
2 2 2 10
Cartesian
1.5793 4.2515 7.0175 K
3.6671 -4.2515 2.3392 K
3.6671 3.9019 2.3392 Zn
1.5793 -3.9019 7.0175 Zn
4.7111 0.0000 0.0000 Ge
2.6232 0.0000 4.6783 Ge
-2.1721 0.8092 8.7441 Br
2.0173 2.5973 3.5820 Br
-0.0843 -0.8092 4.0658 Br
5.3170 2.5973 1.0964 Br
1.5793 0.9811 7.0175 Br
3.6671 -0.9811 2.3392 Br
-0.0705 -2.5973 8.2603 Br
5.3307 0.8092 5.2909 Br
3.2291 -2.5973 5.7747 Br
7.4186 -0.8092 0.6125 Br
```